# 1
# RbMg14W
Calculated powder X-ray diffraction pattern, Cu Kα. Input: a cell relaxed with GGA-PBE.

Structure:
```
data_RbMg14W
_chemical_formula_sum 'Rb1 Mg14 W1'
_space_group_name_H-M_alt 'P -6 m 2'
_space_group_IT_number 187
_space_group_name_Hall 'P -6 2'
_cell_length_a 6.4518
_cell_length_b 6.4518
_cell_length_c 10.4767
_cell_angle_alpha 90.00
_cell_angle_beta 90.00
_cell_angle_gamma 120.00
loop_
_atom_site_label
_atom_site_fract_x
_atom_site_fract_y
_atom_site_fract_z
_atom_site_occupancy
Rb1 0.0000 0.0000 0.0000 1
Mg1 0.0105 0.5053 0.0000 1
Mg2 0.1655 0.3310 0.2784 1
Mg3 0.5039 0.0078 0.5000 1
Mg4 0.6667 0.3333 0.2434 1
W1 0.0000 0.0000 0.5000 1
```

Peak list (12 most intense, 2θ = 15–90°, by angle)
| h k l | d (Å) | Rel. int. |
| --- | --- | --- |
| 1 0 0 | 5.587 | 59 |
| 0 0 2 | 5.238 | 19 |
| 1 0 1 | 4.930 | 19 |
| 1 0 2 | 3.822 | 49 |
| 2 0 0 | 2.794 | 32 |
| 1 1 2 | 2.747 | 20 |
| 0 0 4 | 2.619 | 23 |
| 2 0 2 | 2.465 | 100 |
| 1 0 4 | 2.371 | 18 |
| 2 1 2 | 1.959 | 19 |
| 2 0 4 | 1.911 | 21 |
| 2 2 4 | 1.373 | 18 |

# 2
# Mg7Si4
Calculated powder X-ray diffraction pattern, Cu Kα. Input: a cell relaxed with GGA-PBE.

Structure:
```
data_Mg7Si4
_chemical_formula_sum 'Mg14 Si8'
_space_group_name_H-M_alt 'P 1'
_space_group_IT_number 1
_cell_length_a 5.173
_cell_length_b 6.206
_cell_length_c 14.415
_cell_angle_alpha 83.91
_cell_angle_beta 80.07
_cell_angle_gamma 78.51
loop_
_space_group_symop_operation_xyz
'x,y,z'
loop_
_atom_site_label
_atom_site_fract_x
_atom_site_fract_y
_atom_site_fract_z
_atom_site_occupancy
Mg1 0.000 0.000 0.000 1
Mg2 0.001 0.094 0.785 1
Mg3 0.058 0.486 0.051 1
Mg4 0.109 0.251 0.573 1
Mg5 0.166 0.748 0.589 1
Mg6 0.315 0.651 0.849 1
Mg7 0.487 0.775 0.090 1
Mg8 0.517 0.369 0.693 1
Mg9 0.560 0.259 0.151 1
Mg10 0.587 0.892 0.444 1
Mg11 0.593 0.896 0.672 1
Mg12 0.620 0.388 0.463 1
Mg13 0.940 0.827 0.227 1
Mg14 0.985 0.329 0.272 1
Si1 0.061 0.012 0.424 1
Si2 0.065 0.593 0.424 1
Si3 0.390 0.946 0.276 1
Si4 0.430 0.545 0.287 1
Si5 0.472 0.060 0.871 1
Si6 0.595 0.357 0.962 1
Si7 0.786 0.710 0.899 1
Si8 0.935 0.536 0.745 1
```

Peak list (12 most intense, 2θ = 15–90°, by angle)
| h k l | d (Å) | Rel. int. |
| --- | --- | --- |
| 1 2 0 | 2.834 | 56 |
| 1 0 -4 | 2.700 | 86 |
| 0 1 5 | 2.645 | 72 |
| 1 2 3 | 2.620 | 68 |
| 1 -1 4 | 2.594 | 56 |
| 2 0 0 | 2.504 | 100 |
| 2 0 2 | 2.484 | 56 |
| 1 2 4 | 2.404 | 63 |
| -1 2 1 | 2.366 | 55 |
| 1 2 -3 | 2.277 | 53 |
| 1 -2 3 | 2.156 | 54 |
| -1 2 3 | 2.131 | 80 |

# 3
# Mg14NbZn
Calculated powder X-ray diffraction pattern, Cu Kα. Input: a cell relaxed with GGA-PBE.

Structure:
```
data_Mg14NbZn
_chemical_formula_sum 'Mg14 Nb1 Zn1'
_space_group_name_H-M_alt 'P -6 m 2'
_space_group_IT_number 187
_space_group_name_Hall 'P -6 2'
_cell_length_a 6.3218
_cell_length_b 6.3218
_cell_length_c 9.9576
_cell_angle_alpha 90.00
_cell_angle_beta 90.00
_cell_angle_gamma 120.00
loop_
_atom_site_label
_atom_site_fract_x
_atom_site_fract_y
_atom_site_fract_z
_atom_site_occupancy
Mg1 0.0000 0.0000 0.2478 1
Mg2 0.0113 0.5057 0.2489 1
Mg3 0.3325 0.1663 0.5000 1
Mg4 0.3367 0.1683 0.0000 1
Nb1 0.3333 0.6667 0.0000 1
Zn1 0.3333 0.6667 0.5000 1
```

Peak list (12 most intense, 2θ = 15–90°, by angle)
| h k l | d (Å) | Rel. int. |
| --- | --- | --- |
| 1 0 0 | 5.475 | 28 |
| 1 0 2 | 3.683 | 18 |
| 2 0 0 | 2.737 | 28 |
| 1 1 2 | 2.669 | 8 |
| 0 0 4 | 2.489 | 24 |
| 2 0 2 | 2.399 | 100 |
| 2 1 2 | 1.911 | 8 |
| 2 0 4 | 1.842 | 17 |
| 2 2 0 | 1.580 | 17 |
| 2 0 6 | 1.419 | 18 |
| 2 2 4 | 1.334 | 19 |
| 4 0 2 | 1.320 | 14 |

# 4
# GdSi
Calculated powder X-ray diffraction pattern, Cu Kα. Input: a cell relaxed with GGA-PBE.

Structure:
```
data_GdSi
_chemical_formula_sum 'Gd4 Si4'
_space_group_name_H-M_alt 'P n m a'
_space_group_IT_number 62
_cell_length_a 7.991
_cell_length_b 3.897
_cell_length_c 5.731
_cell_angle_alpha 90.00
_cell_angle_beta 90.00
_cell_angle_gamma 90.00
loop_
_space_group_symop_operation_xyz
'x,y,z'
'-x,-y,-z'
'-x+1/2,-y,z+1/2'
'x+1/2,y,-z+1/2'
'x+1/2,-y+1/2,-z+1/2'
'-x+1/2,y+1/2,z+1/2'
'-x,y+1/2,-z'
'x,-y+1/2,z'
loop_
_atom_site_label
_atom_site_fract_x
_atom_site_fract_y
_atom_site_fract_z
_atom_site_occupancy
Gd1 0.181 0.250 0.114 1
Si1 0.036 0.250 0.623 1
```

Peak list (12 most intense, 2θ = 15–90°, by angle)
| h k l | d (Å) | Rel. int. |
| --- | --- | --- |
| 2 0 0 | 3.995 | 27 |
| 2 0 1 | 3.277 | 30 |
| 0 1 1 | 3.222 | 39 |
| 1 1 1 | 2.988 | 100 |
| 2 1 0 | 2.790 | 70 |
| 1 0 2 | 2.697 | 79 |
| 2 1 1 | 2.508 | 42 |
| 3 0 1 | 2.415 | 45 |
| 1 1 2 | 2.218 | 36 |
| 0 2 0 | 1.948 | 25 |
| 3 1 2 | 1.744 | 33 |
| 1 2 2 | 1.579 | 31 |

# 5
# NaLi2GaF6
Calculated powder X-ray diffraction pattern, Cu Kα. Input: a cell relaxed with GGA-PBE.

Structure:
```
data_NaLi2GaF6
_chemical_formula_sum 'Na4 Li8 Ga4 F24'
_space_group_name_H-M_alt 'F m -3 m'
_space_group_IT_number 225
_space_group_name_Hall '-F 4 2 3'
_cell_length_a 8.112
_cell_length_b 8.112
_cell_length_c 8.112
_cell_angle_alpha 90.00
_cell_angle_beta 90.00
_cell_angle_gamma 90.00
loop_
_atom_site_label
_atom_site_fract_x
_atom_site_fract_y
_atom_site_fract_z
_atom_site_occupancy
Na1 0.000 0.000 0.000 1
Li1 0.250 0.250 0.250 1
Ga1 0.000 0.000 0.500 1
F1 0.000 0.000 0.266 1
```

Peak list (12 most intense, 2θ = 15–90°, by angle)
| h k l | d (Å) | Rel. int. |
| --- | --- | --- |
| 1 1 1 | 4.683 | 41 |
| 2 0 0 | 4.056 | 100 |
| 2 2 0 | 2.868 | 23 |
| 3 1 1 | 2.446 | 13 |
| 4 0 0 | 2.028 | 42 |
| 4 2 0 | 1.814 | 36 |
| 4 2 2 | 1.656 | 9 |
| 5 1 1 | 1.561 | 8 |
| 4 4 0 | 1.434 | 22 |
| 5 3 1 | 1.371 | 7 |
| 6 0 0 | 1.352 | 15 |
| 6 4 0 | 1.125 | 7 |

# 6
# Mn3Sn2Pd5
Calculated powder X-ray diffraction pattern, Cu Kα. Input: a cell relaxed with GGA-PBE.

Structure:
```
data_Mn3Sn2Pd5
_chemical_formula_sum 'Mn18 Sn12 Pd30'
_space_group_name_H-M_alt 'R -3 m'
_space_group_IT_number 166
_space_group_name_Hall '-R 3 2"'
_cell_length_a 4.5271
_cell_length_b 4.5271
_cell_length_c 55.5497
_cell_angle_alpha 90.00
_cell_angle_beta 90.00
_cell_angle_gamma 120.00
loop_
_atom_site_label
_atom_site_fract_x
_atom_site_fract_y
_atom_site_fract_z
_atom_site_occupancy
Mn1 0.0000 0.0000 0.0000 1
Mn2 0.0000 0.0000 0.1000 1
Mn3 0.0000 0.0000 0.3007 1
Mn4 0.0000 0.0000 0.5000 1
Sn1 0.0000 0.0000 0.1999 1
Sn2 0.0000 0.0000 0.3999 1
Pd1 0.0000 0.0000 0.0495 1
Pd2 0.0000 0.0000 0.1500 1
Pd3 0.0000 0.0000 0.2500 1
Pd4 0.0000 0.0000 0.3494 1
Pd5 0.0000 0.0000 0.4500 1
```

Peak list (12 most intense, 2θ = 15–90°, by angle)
| h k l | d (Å) | Rel. int. |
| --- | --- | --- |
| 0 0 15 | 3.699 | 4 |
| 1 0 10 | 3.203 | 2 |
| 1 1 0 | 2.265 | 100 |
| 1 1 15 | 1.932 | 3 |
| 0 2 10 | 1.849 | 1 |
| 2 0 20 | 1.602 | 17 |
| 2 1 10 | 1.432 | 1 |
| 1 0 40 | 1.309 | 8 |
| 3 0 0 | 1.307 | 25 |
| 3 0 15 | 1.233 | 1 |
| 0 2 40 | 1.133 | 5 |
| 2 2 0 | 1.132 | 5 |

# 7
# Ho3Co11B4
Calculated powder X-ray diffraction pattern, Cu Kα. Input: a cell relaxed with GGA-PBE.

Structure:
```
data_Ho3Co11B4
_chemical_formula_sum 'Ho3 Co11 B4'
_space_group_name_H-M_alt 'P 6/m m m'
_space_group_IT_number 191
_space_group_name_Hall '-P 6 2'
_cell_length_a 5.0369
_cell_length_b 5.0369
_cell_length_c 9.7800
_cell_angle_alpha 90.00
_cell_angle_beta 90.00
_cell_angle_gamma 120.00
loop_
_atom_site_label
_atom_site_fract_x
_atom_site_fract_y
_atom_site_fract_z
_atom_site_occupancy
Ho1 0.0000 0.0000 0.0000 1
Ho2 0.0000 0.0000 0.3418 1
Co1 0.0000 0.5000 0.2025 1
Co2 0.0000 0.5000 0.5000 1
Co3 0.3333 0.6667 0.0000 1
B1 0.3333 0.6667 0.3497 1
```

Peak list (12 most intense, 2θ = 15–90°, by angle)
| h k l | d (Å) | Rel. int. |
| --- | --- | --- |
| 1 0 0 | 4.362 | 26 |
| 1 0 3 | 2.611 | 100 |
| 1 1 0 | 2.518 | 30 |
| 2 0 0 | 2.181 | 87 |
| 1 1 3 | 1.993 | 92 |
| 0 0 6 | 1.629 | 13 |
| 2 1 3 | 1.471 | 34 |
| 1 1 6 | 1.368 | 15 |
| 3 0 3 | 1.328 | 23 |
| 2 0 6 | 1.306 | 15 |
| 2 2 0 | 1.259 | 21 |
| 3 1 3 | 1.134 | 15 |

# 8
# Mg3Au
Calculated powder X-ray diffraction pattern, Cu Kα. Input: a cell relaxed with GGA-PBE.

Structure:
```
data_Mg3Au
_chemical_formula_sum 'Mg6 Au2'
_space_group_name_H-M_alt 'P 63/m m c'
_space_group_IT_number 194
_space_group_name_Hall '-P 6c 2c'
_cell_length_a 4.6452
_cell_length_b 4.6452
_cell_length_c 9.4686
_cell_angle_alpha 90.00
_cell_angle_beta 90.00
_cell_angle_gamma 120.00
loop_
_atom_site_label
_atom_site_fract_x
_atom_site_fract_y
_atom_site_fract_z
_atom_site_occupancy
Mg1 0.3333 0.6667 0.0905 1
Mg2 0.3333 0.6667 0.7500 1
Au1 0.0000 0.0000 0.2500 1
```

Peak list (12 most intense, 2θ = 15–90°, by angle)
| h k l | d (Å) | Rel. int. |
| --- | --- | --- |
| 0 0 2 | 4.734 | 51 |
| 1 0 0 | 4.023 | 63 |
| 1 0 2 | 3.066 | 100 |
| 1 1 0 | 2.323 | 47 |
| 1 1 2 | 2.085 | 37 |
| 1 0 4 | 2.040 | 34 |
| 2 0 2 | 1.851 | 24 |
| 1 1 4 | 1.658 | 16 |
| 2 0 4 | 1.533 | 14 |
| 2 1 2 | 1.448 | 22 |
| 1 1 6 | 1.305 | 15 |
| 2 1 4 | 1.279 | 16 |

# 9
# Sb2Se3
Calculated powder X-ray diffraction pattern, Cu Kα. Input: a cell relaxed with GGA-PBE.

Structure:
```
data_Sb2Se3
_chemical_formula_sum 'Sb8 Se12'
_space_group_name_H-M_alt 'P n m a'
_space_group_IT_number 62
_cell_length_a 12.843
_cell_length_b 4.030
_cell_length_c 11.541
_cell_angle_alpha 90.00
_cell_angle_beta 90.00
_cell_angle_gamma 90.00
loop_
_space_group_symop_operation_xyz
'x,y,z'
'-x,-y,-z'
'-x+1/2,-y,z+1/2'
'x+1/2,y,-z+1/2'
'x+1/2,-y+1/2,-z+1/2'
'-x+1/2,y+1/2,z+1/2'
'-x,y+1/2,-z'
'x,-y+1/2,z'
loop_
_atom_site_label
_atom_site_fract_x
_atom_site_fract_y
_atom_site_fract_z
_atom_site_occupancy
Sb1 0.036 0.250 0.168 1
Sb2 0.138 0.750 0.464 1
Se1 0.047 0.250 0.633 1
Se2 0.127 0.750 0.047 1
Se3 0.204 0.250 0.309 1
```

Peak list (12 most intense, 2θ = 15–90°, by angle)
| h k l | d (Å) | Rel. int. |
| --- | --- | --- |
| 2 0 1 | 5.611 | 47 |
| 3 0 2 | 3.438 | 36 |
| 1 1 2 | 3.200 | 63 |
| 2 1 2 | 2.938 | 100 |
| 4 0 2 | 2.806 | 43 |
| 0 1 3 | 2.783 | 39 |
| 3 1 2 | 2.616 | 33 |
| 2 1 4 | 2.204 | 22 |
| 3 1 4 | 2.057 | 21 |
| 0 2 0 | 2.015 | 35 |
| 0 1 5 | 2.003 | 18 |
| 6 1 0 | 1.890 | 56 |

> Number 4 is which compound?

GdSi

What did the sixth record say?
# Mn3Sn2Pd5
Calculated powder X-ray diffraction pattern, Cu Kα. Input: a cell relaxed with GGA-PBE.

Structure:
```
data_Mn3Sn2Pd5
_chemical_formula_sum 'Mn18 Sn12 Pd30'
_space_group_name_H-M_alt 'R -3 m'
_space_group_IT_number 166
_space_group_name_Hall '-R 3 2"'
_cell_length_a 4.5271
_cell_length_b 4.5271
_cell_length_c 55.5497
_cell_angle_alpha 90.00
_cell_angle_beta 90.00
_cell_angle_gamma 120.00
loop_
_atom_site_label
_atom_site_fract_x
_atom_site_fract_y
_atom_site_fract_z
_atom_site_occupancy
Mn1 0.0000 0.0000 0.0000 1
Mn2 0.0000 0.0000 0.1000 1
Mn3 0.0000 0.0000 0.3007 1
Mn4 0.0000 0.0000 0.5000 1
Sn1 0.0000 0.0000 0.1999 1
Sn2 0.0000 0.0000 0.3999 1
Pd1 0.0000 0.0000 0.0495 1
Pd2 0.0000 0.0000 0.1500 1
Pd3 0.0000 0.0000 0.2500 1
Pd4 0.0000 0.0000 0.3494 1
Pd5 0.0000 0.0000 0.4500 1
```

Peak list (12 most intense, 2θ = 15–90°, by angle)
| h k l | d (Å) | Rel. int. |
| --- | --- | --- |
| 0 0 15 | 3.699 | 4 |
| 1 0 10 | 3.203 | 2 |
| 1 1 0 | 2.265 | 100 |
| 1 1 15 | 1.932 | 3 |
| 0 2 10 | 1.849 | 1 |
| 2 0 20 | 1.602 | 17 |
| 2 1 10 | 1.432 | 1 |
| 1 0 40 | 1.309 | 8 |
| 3 0 0 | 1.307 | 25 |
| 3 0 15 | 1.233 | 1 |
| 0 2 40 | 1.133 | 5 |
| 2 2 0 | 1.132 | 5 |